[1]
For Sr2GaNi2O7, a crystal structure in Alexandria, relaxed with PBE+U gives the calculated powder diffractogram in this record (copper Kα).
Lines closer than 0.1° are merged.

Top 12 peaks for 2θ from 10° to 90°, sorted by position:
two_theta  d [Å]  intensity
13.91  6.367  32.1
27.79  3.211  36.0
27.92  3.196  37.1
32.00  2.797  100.0
32.12  2.787  98.5
32.66  2.742  53.6
35.24  2.547  32.3
35.70  2.515  54.3
42.60  2.122  29.1
49.00  1.859  30.1
49.32  1.848  30.5
63.62  1.462  35.9

Crystal structure
```
Sr2GaNi2O7
1.0
3.709 -12.733 0.000
3.709 12.733 0.000
-3.388 0.000 3.718
Sr Ga Ni O
4 2 4 14
Direct
0.094 0.906 0.000
0.434 0.622 0.028
0.622 0.434 0.028
0.906 0.094 0.000
0.082 0.082 0.532
0.447 0.447 0.396
0.196 0.839 0.517
0.330 0.696 0.514
0.696 0.330 0.514
0.839 0.196 0.517
0.041 0.906 0.486
0.087 0.428 0.993
0.092 0.429 0.508
0.118 0.118 0.188
0.411 0.411 0.980
0.428 0.087 0.993
0.429 0.092 0.508
0.486 0.622 0.565
0.593 0.944 0.520
0.596 0.950 0.040
0.622 0.486 0.565
0.906 0.041 0.486
0.944 0.593 0.520
0.950 0.596 0.040
```

[2]
For Sr2YGaNi2O7, a crystal structure in Alexandria, relaxed with PBE+U gives the calculated powder diffractogram in this record (copper Kα).
Lines closer than 0.1° are merged.

Top 12 peaks for 2θ from 10° to 90°, sorted by position:
two_theta  d [Å]  intensity
31.54  2.837  29.4
32.24  2.777  34.5
32.97  2.717  100.0
39.43  2.285  12.9
45.73  1.984  34.2
48.87  1.863  8.6
57.07  1.614  17.2
57.96  1.591  21.1
59.77  1.547  8.1
62.70  1.482  6.1
69.16  1.358  8.2
76.39  1.247  10.4

Crystal structure
```
Sr2YGaNi2O7
1.0
-11.181 2.837 2.776
11.181 -2.837 2.776
11.181 2.837 -2.776
Sr Y Ga Ni O
4 2 2 4 14
Direct
0.020 0.150 0.170
0.020 0.350 0.370
0.980 0.650 0.630
0.980 0.850 0.830
0.001 0.001 0.000
0.001 0.501 0.500
0.457 0.781 0.176
0.605 0.281 0.824
0.493 0.577 0.081
0.493 0.912 0.416
0.496 0.077 0.584
0.496 0.412 0.919
0.000 0.620 0.880
0.412 0.141 0.623
0.412 0.289 0.771
0.435 0.145 0.152
0.435 0.783 0.790
0.518 0.641 0.229
0.518 0.789 0.377
0.546 0.333 0.341
0.546 0.705 0.714
0.740 0.120 0.120
0.992 0.205 0.659
0.992 0.833 0.286
0.993 0.283 0.848
0.993 0.645 0.210
```

[3]
For TmGaNiO4, a crystal structure in Alexandria, relaxed with PBE+U gives the calculated powder diffractogram in this record (copper Kα).
Lines closer than 0.1° are merged.

Top 12 peaks for 2θ from 10° to 90°, sorted by position:
two_theta  d [Å]  intensity
17.79  4.986  62.7
20.66  4.298  18.7
29.01  3.078  16.5
29.18  3.060  23.0
33.44  2.680  100.0
34.15  2.625  26.9
34.56  2.595  47.2
35.12  2.555  24.7
36.03  2.493  24.6
40.94  2.204  29.8
54.51  1.683  25.2
60.13  1.539  48.7

Crystal structure
```
TmGaNiO4
1.0
-3.060 3.178 4.298
3.060 -3.178 4.298
3.060 3.178 -4.298
Tm Ga Ni O
2 2 2 8
Direct
0.000 0.000 0.000
0.500 0.000 0.500
0.372 0.622 0.750
0.628 0.378 0.250
0.000 0.000 0.500
0.000 0.500 0.000
0.237 0.743 0.495
0.245 0.243 0.498
0.245 0.746 0.002
0.252 0.257 0.995
0.748 0.743 0.005
0.755 0.254 0.998
0.755 0.757 0.502
0.763 0.257 0.505
```